For Ge3As4, DFT lattice parameters and positions (GGA-PBE) gives the theoretical powder diffractogram in this record (copper Kα).
Kinematic intensities with the Lorentz-polarization factor, no thermal factor.

The 10 most intense peaks (2θ = 10–90°), most intense first:
2theta	I_rel
28.03	100.0
46.59	63.8
55.26	34.4
36.44	19.0
40.06	17.5
86.48	14.9
75.11	13.0
68.02	8.2
49.60	8.2
70.41	8.1

Cell and atoms:
```
7
Lattice="5.513 0.000 0.000 0.000 5.513 0.000 0.000 0.000 5.513" Properties=species:S:1:pos:R:3 pbc="T T T"
Ge 0.000 0.000 2.757
Ge 0.000 2.757 0.000
Ge 2.757 0.000 0.000
As 1.555 1.555 3.959
As 1.555 3.959 1.555
As 3.959 1.555 1.555
As 3.959 3.959 3.959
```

***

For K5In4Ge6As14, DFT lattice parameters and positions (GGA-PBE) gives the theoretical powder diffractogram in this record (copper Kα).
Kinematic intensities with the Lorentz-polarization factor, no thermal factor.

The 10 most intense peaks (2θ = 10–90°), most intense first:
2theta	I_rel
10.30	100.0
27.81	37.3
44.80	26.9
26.76	25.0
27.00	23.4
51.07	22.9
29.24	20.5
30.94	20.1
49.10	19.9
25.74	19.6

Cell and atoms:
```
29
Lattice="20.340 -2.023 0.000 20.340 2.023 0.000 -1.926 0.000 10.368" Properties=species:S:1:pos:R:3 pbc="T T T"
K 0.000 0.000 0.000
K 6.285 0.000 5.648
K 16.436 0.000 1.816
K 22.317 0.000 8.552
K 32.468 0.000 4.719
In 5.798 0.000 1.346
In 15.903 0.000 7.977
In 22.850 0.000 2.391
In 32.956 0.000 9.022
Ge -0.006 0.000 4.367
Ge 9.538 0.000 8.676
Ge 11.964 0.000 0.764
Ge 26.790 0.000 9.604
Ge 29.215 0.000 1.692
Ge 38.759 0.000 6.001
As 2.122 0.000 5.747
As 3.183 0.000 0.817
As 5.004 0.000 9.188
As 10.183 0.000 2.485
As 11.690 0.000 7.529
As 15.001 0.000 5.452
As 18.612 0.000 7.487
As 20.142 0.000 2.881
As 23.753 0.000 4.916
As 27.064 0.000 2.839
As 28.570 0.000 7.883
As 33.749 0.000 1.180
As 35.570 0.000 9.551
As 36.632 0.000 4.621
```

***

What did the second record say?
For K5In4Ge6As14, DFT lattice parameters and positions (GGA-PBE) gives the theoretical powder diffractogram in this record (copper Kα).
Kinematic intensities with the Lorentz-polarization factor, no thermal factor.

The 10 most intense peaks (2θ = 10–90°), most intense first:
2theta	I_rel
10.30	100.0
27.81	37.3
44.80	26.9
26.76	25.0
27.00	23.4
51.07	22.9
29.24	20.5
30.94	20.1
49.10	19.9
25.74	19.6

Cell and atoms:
```
29
Lattice="20.340 -2.023 0.000 20.340 2.023 0.000 -1.926 0.000 10.368" Properties=species:S:1:pos:R:3 pbc="T T T"
K 0.000 0.000 0.000
K 6.285 0.000 5.648
K 16.436 0.000 1.816
K 22.317 0.000 8.552
K 32.468 0.000 4.719
In 5.798 0.000 1.346
In 15.903 0.000 7.977
In 22.850 0.000 2.391
In 32.956 0.000 9.022
Ge -0.006 0.000 4.367
Ge 9.538 0.000 8.676
Ge 11.964 0.000 0.764
Ge 26.790 0.000 9.604
Ge 29.215 0.000 1.692
Ge 38.759 0.000 6.001
As 2.122 0.000 5.747
As 3.183 0.000 0.817
As 5.004 0.000 9.188
As 10.183 0.000 2.485
As 11.690 0.000 7.529
As 15.001 0.000 5.452
As 18.612 0.000 7.487
As 20.142 0.000 2.881
As 23.753 0.000 4.916
As 27.064 0.000 2.839
As 28.570 0.000 7.883
As 33.749 0.000 1.180
As 35.570 0.000 9.551
As 36.632 0.000 4.621
```